# 1
Diffraction record for PbAu2C2. The powder X-ray diffraction pattern is theoretical, not measured: it uses DFT lattice parameters and positions (GGA-PBE) and Cu Kα X-rays.
No peak broadening, texture or thermal motion is included.

Largest 8 diffraction maxima, sorted by position, 2θ from 10° to 80°:
(hkl)  d/Å  I_rel
2 1 0  3.567  100
0 0 1  3.027  64
2 2 0  2.820  30
3 1 0  2.523  76
2 1 1  2.308  69
2 2 1  2.063  21
3 1 1  1.937  95
6 0 0  1.330  24

```
data_PbAu2C2
_cell_length_a 7.9769
_cell_length_b 7.9769
_cell_length_c 3.0268
_cell_angle_alpha 90.00
_cell_angle_beta 90.00
_cell_angle_gamma 90.00
_symmetry_space_group_name_H-M 'P 4/m b m'
_symmetry_Int_Tables_number 127
_symmetry_space_group_name_Hall '-P 4 2ab'
loop_
_atom_site_label
_atom_site_type_symbol
_atom_site_fract_x
_atom_site_fract_y
_atom_site_fract_z
Pb1 Pb 0.0000 0.0000 0.0000
Au1 Au 0.1642 0.3358 0.0000
C1 C 0.0589 0.5589 0.5000
```

---

# 2
Diffraction record for CeCd2SnGe. The powder X-ray diffraction pattern is theoretical, not measured: it uses DFT lattice parameters and positions (GGA-PBE) and Cu Kα X-rays.
No peak broadening, texture or thermal motion is included.

Largest 8 diffraction maxima, sorted by position, 2θ from 10° to 80°:
(hkl)  d/Å  I_rel
0 4 1  3.604  28
1 3 1  3.065  46
1 1 2  2.820  100
1 5 0  2.578  68
0 2 3  2.474  32
0 6 2  2.225  53
2 0 0  2.114  35
2 6 2  1.532  32

```
data_CeCd2SnGe
_cell_length_a 4.2273
_cell_length_b 16.2629
_cell_length_c 7.7897
_cell_angle_alpha 90.00
_cell_angle_beta 90.00
_cell_angle_gamma 90.00
_symmetry_space_group_name_H-M 'C m c m'
_symmetry_Int_Tables_number 63
_symmetry_space_group_name_Hall '-C 2c 2'
loop_
_atom_site_label
_atom_site_type_symbol
_atom_site_fract_x
_atom_site_fract_y
_atom_site_fract_z
Ce1 Ce 0.0000 0.1013 0.2500
Cd1 Cd 0.0000 0.3247 0.0648
Sn1 Sn 0.0000 0.5000 0.0000
Ge1 Ge 0.0000 0.2466 0.7500
```